1.
For BaSbF5, DFT lattice parameters and positions (GGA-PBE) gives the computed powder diffraction line list in this record (CuKα).
Intensities are scaled so that the largest is 100.

Main lines, in order of falling intensity (10 to 90 degrees two-theta):
| (hkl) | 2θ/deg | d (Å) | I_rel |
| --- | --- | --- | --- |
| 1 0 2 | 24.18 | 3.680 | 100 |
| 0 2 2 | 24.32 | 3.661 | 97 |
| 1 2 4 | 41.31 | 2.185 | 83 |
| 1 1 1 | 22.14 | 4.016 | 48 |
| 1 2 0 | 26.37 | 3.380 | 46 |
| 0 2 1 | 20.21 | 4.395 | 39 |
| 1 0 6 | 51.53 | 1.773 | 27 |
| 0 0 4 | 31.23 | 2.864 | 23 |
| 2 0 0 | 37.44 | 2.402 | 22 |
| 0 4 0 | 37.80 | 2.380 | 19 |

Structure:
```
BaSbF5
1.0
4.803 0.000 0.000
0.000 9.517 0.000
0.000 0.000 11.458
Ba Sb F
4 4 20
direct
0.013 0.250 0.000
0.013 0.250 0.500
0.987 0.750 0.000
0.987 0.750 0.500
0.392 0.056 0.250
0.392 0.444 0.750
0.608 0.556 0.250
0.608 0.944 0.750
0.102 0.208 0.250
0.102 0.292 0.750
0.114 0.512 0.617
0.114 0.512 0.883
0.114 0.988 0.117
0.114 0.988 0.383
0.470 0.692 0.115
0.470 0.692 0.385
0.470 0.808 0.615
0.470 0.808 0.885
0.530 0.192 0.115
0.530 0.192 0.385
0.530 0.308 0.615
0.530 0.308 0.885
0.886 0.012 0.617
0.886 0.012 0.883
0.886 0.488 0.117
0.886 0.488 0.383
0.898 0.708 0.250
0.898 0.792 0.750
```

2.
For Ba2Sb2F11, DFT lattice parameters and positions (GGA-PBE) gives the computed powder diffraction line list in this record (CuKα).
Intensities are scaled so that the largest is 100.

Main lines, in order of falling intensity (10 to 90 degrees two-theta):
| (hkl) | 2θ/deg | d (Å) | I_rel |
| --- | --- | --- | --- |
| 2 -1 1 | 22.86 | 3.890 | 100 |
| 0 1 3 | 22.04 | 4.033 | 54 |
| 3 -1 3 | 38.67 | 2.328 | 41 |
| 0 1 4 | 27.24 | 3.274 | 39 |
| 1 1 2 | 25.14 | 3.542 | 34 |
| 1 2 6 | 50.61 | 1.804 | 27 |
| 1 0 1 | 14.02 | 6.317 | 23 |
| 2 0 2 | 28.25 | 3.159 | 23 |
| 2 1 2 | 36.12 | 2.486 | 23 |
| 2 1 5 | 46.04 | 1.971 | 21 |

Structure:
```
Ba2Sb2F11
1.0
8.064 0.000 0.000
-4.032 6.983 0.000
0.000 0.000 14.824
Ba Sb F
6 6 33
direct
0.122 0.397 0.000
0.275 0.878 0.333
0.545 0.173 0.852
0.603 0.725 0.667
0.629 0.455 0.186
0.827 0.371 0.519
0.061 0.595 0.758
0.201 0.048 0.595
0.405 0.466 0.424
0.534 0.939 0.091
0.847 0.799 0.929
0.952 0.153 0.262
0.004 0.584 0.390
0.007 0.753 0.602
0.108 0.040 0.938
0.120 0.488 0.648
0.158 0.035 0.459
0.247 0.255 0.269
0.261 0.078 0.732
0.298 0.690 0.140
0.310 0.608 0.806
0.360 0.343 0.592
0.368 0.880 0.982
0.392 0.702 0.473
0.398 0.053 0.160
0.416 0.420 0.056
0.457 0.068 0.548
0.512 0.632 0.315
0.554 0.322 0.375
0.580 0.996 0.723
0.611 0.543 0.882
0.654 0.602 0.493
0.657 0.016 0.258
0.678 0.231 0.041
0.745 0.993 0.936
0.769 0.446 0.708
0.816 0.739 0.065
0.877 0.842 0.793
0.922 0.184 0.399
0.932 0.389 0.215
0.933 0.892 0.272
0.947 0.346 0.827
0.960 0.067 0.605
0.965 0.123 0.126
0.984 0.640 0.925
```